Calculated powder diffractogram
Compound: AcLa5Ag6
Radiation: Cu Kα (weighted mean of Kα1 and Kα2)
Structure: a cell relaxed with PBE

Structural model:
Lattice parameters (Å, degrees): 8.6537 8.6537 7.6085 90.00 90.00 143.08
Element x y z (fractional)
Ac 0.0000 0.0000 0.0000
La 0.0000 0.0000 0.5000
La 0.3328 0.6672 0.5000
La 0.3335 0.6665 0.0000
La 0.6665 0.3335 0.0000
La 0.6672 0.3328 0.5000
Ag 0.1695 0.8305 0.2530
Ag 0.1695 0.8305 0.7470
Ag 0.5000 0.5000 0.2602
Ag 0.5000 0.5000 0.7398
Ag 0.8305 0.1695 0.2530
Ag 0.8305 0.1695 0.7470

Principal peaks in the range 10 to 90 degrees two-theta, low angle first:
2θ/deg, Rel. int.
32.7, 51
33.0, 100
46.9, 18
47.8, 9
58.6, 38
59.1, 18
68.5, 3
69.2, 11
78.0, 8
78.2, 8
79.5, 8
87.9, 6

=====

Calculated powder diffractogram
Compound: BaYSc
Radiation: Cu Kα (weighted mean of Kα1 and Kα2)
Structure: a cell relaxed with PBE

Structural model:
Lattice parameters (Å, degrees): 8.1251 8.1251 8.1251 153.10 153.10 38.41
Element x y z (fractional)
Ba 0.0000 0.0000 0.0000
Y 0.6946 0.6946 0.0000
Sc 0.3244 0.3244 0.0000

Principal peaks in the range 10 to 90 degrees two-theta, low angle first:
2θ/deg, Rel. int.
23.2, 14
24.3, 20
29.4, 100
33.5, 38
35.1, 12
41.2, 12
48.0, 13
48.1, 13
49.3, 18
57.4, 29
61.0, 9
70.3, 8